No. 1
Computed PXRD pattern
Compound: ScSiIr
Radiation: Cu Kα X-rays
Structure: DFT lattice parameters and positions (PBE)
Peak positions follow from Bragg's law for the DFT cell and can differ from measured ones.

Cell and atoms:
```
data_ScSiIr
_chemical_formula_sum 'Sc4 Si4 Ir4'
_cell_length_a 6.4612
_cell_length_b 4.0737
_cell_length_c 7.3627
_cell_angle_alpha 90.00
_cell_angle_beta 90.00
_cell_angle_gamma 90.00
_symmetry_space_group_name_H-M 'P n m a'
_symmetry_Int_Tables_number 62
loop_
_symmetry_equiv_pos_as_xyz
'x,y,z'
'-x,-y,-z'
'-x+1/2,-y,z+1/2'
'x+1/2,y,-z+1/2'
'x+1/2,-y+1/2,-z+1/2'
'-x+1/2,y+1/2,z+1/2'
'-x,y+1/2,-z'
'x,-y+1/2,z'
loop_
_atom_site_label
_atom_site_type_symbol
_atom_site_fract_x
_atom_site_fract_y
_atom_site_fract_z
Sc1 Sc 0.0127 0.2500 0.1851
Si1 Si 0.2120 0.7500 0.3778
Ir1 Ir 0.1613 0.2500 0.5591
```

Largest 10 diffraction maxima, in order of rising 2θ, 2θ from 10° to 90°:
(1 0 1), 4.856 Å, intensity 57; (0 0 2), 3.681 Å, intensity 27; (1 1 1), 3.121 Å, intensity 100; (2 1 0), 2.531 Å, intensity 47; (1 1 2), 2.516 Å, intensity 39; (0 1 3), 2.102 Å, intensity 44; (2 1 2), 2.086 Å, intensity 29; (3 0 1), 2.067 Å, intensity 42; (0 2 0), 2.037 Å, intensity 32; (3 2 1), 1.451 Å, intensity 27

---

No. 2
Computed PXRD pattern
Compound: NdSiAg
Radiation: Cu Kα X-rays
Structure: DFT lattice parameters and positions (PBE)
Peak positions follow from Bragg's law for the DFT cell and can differ from measured ones.

Cell and atoms:
```
data_NdSiAg
_chemical_formula_sum 'Nd2 Si2 Ag2'
_cell_length_a 4.4562
_cell_length_b 4.4562
_cell_length_c 7.8603
_cell_angle_alpha 90.00
_cell_angle_beta 90.00
_cell_angle_gamma 120.00
_symmetry_space_group_name_H-M 'P 63/m m c'
_symmetry_Int_Tables_number 194
_symmetry_space_group_name_Hall '-P 6c 2c'
loop_
_atom_site_label
_atom_site_type_symbol
_atom_site_fract_x
_atom_site_fract_y
_atom_site_fract_z
Nd1 Nd 0.0000 0.0000 0.0000
Si1 Si 0.3333 0.6667 0.2500
Ag1 Ag 0.3333 0.6667 0.7500
```

Largest 10 diffraction maxima, in order of rising 2θ, 2θ from 10° to 90°:
(1 0 0), 3.859 Å, intensity 14; (1 0 1), 3.464 Å, intensity 21; (1 0 2), 2.754 Å, intensity 100; (1 1 0), 2.228 Å, intensity 48; (0 0 4), 1.965 Å, intensity 11; (2 0 2), 1.732 Å, intensity 25; (1 1 4), 1.474 Å, intensity 25; (2 1 2), 1.367 Å, intensity 22; (3 0 0), 1.286 Å, intensity 8; (1 0 6), 1.241 Å, intensity 8

---

No. 3
Computed PXRD pattern
Compound: PaZn3
Radiation: Cu Kα X-rays
Structure: DFT lattice parameters and positions (PBE)
Peak positions follow from Bragg's law for the DFT cell and can differ from measured ones.

Cell and atoms:
```
data_PaZn3
_chemical_formula_sum 'Pa2 Zn6'
_cell_length_a 6.2938
_cell_length_b 6.2938
_cell_length_c 4.4083
_cell_angle_alpha 90.00
_cell_angle_beta 90.00
_cell_angle_gamma 120.00
_symmetry_space_group_name_H-M 'P 63/m m c'
_symmetry_Int_Tables_number 194
_symmetry_space_group_name_Hall '-P 6c 2c'
loop_
_atom_site_label
_atom_site_type_symbol
_atom_site_fract_x
_atom_site_fract_y
_atom_site_fract_z
Pa1 Pa 0.3333 0.6667 0.2500
Zn1 Zn 0.1502 0.3004 0.7500
```

Largest 10 diffraction maxima, in order of rising 2θ, 2θ from 10° to 90°:
(1 0 1), 3.428 Å, intensity 44; (1 1 0), 3.147 Å, intensity 21; (2 0 0), 2.725 Å, intensity 26; (2 0 1), 2.318 Å, intensity 100; (0 0 2), 2.204 Å, intensity 20; (2 0 2), 1.714 Å, intensity 13; (2 2 0), 1.573 Å, intensity 18; (4 0 1), 1.302 Å, intensity 14; (2 0 3), 1.293 Å, intensity 15; (2 2 2), 1.281 Å, intensity 18

---

No. 4
Computed PXRD pattern
Compound: Ba2ZnTe3
Radiation: Cu Kα X-rays
Structure: DFT lattice parameters and positions (PBE)
Peak positions follow from Bragg's law for the DFT cell and can differ from measured ones.

Cell and atoms:
```
data_Ba2ZnTe3
_chemical_formula_sum 'Ba8 Zn4 Te12'
_cell_length_a 9.8762
_cell_length_b 4.7322
_cell_length_c 19.1601
_cell_angle_alpha 90.00
_cell_angle_beta 90.00
_cell_angle_gamma 90.00
_symmetry_space_group_name_H-M 'P n m a'
_symmetry_Int_Tables_number 62
loop_
_symmetry_equiv_pos_as_xyz
'x,y,z'
'-x,-y,-z'
'-x+1/2,-y,z+1/2'
'x+1/2,y,-z+1/2'
'x+1/2,-y+1/2,-z+1/2'
'-x+1/2,y+1/2,z+1/2'
'-x,y+1/2,-z'
'x,-y+1/2,z'
loop_
_atom_site_label
_atom_site_type_symbol
_atom_site_fract_x
_atom_site_fract_y
_atom_site_fract_z
Ba1 Ba 0.0803 0.2500 0.2118
Ba2 Ba 0.2460 0.7500 0.4579
Zn1 Zn 0.1399 0.2500 0.6364
Te1 Te 0.0046 0.7500 0.6015
Te2 Te 0.1210 0.7500 0.0700
Te3 Te 0.1850 0.2500 0.7749
```

Largest 10 diffraction maxima, in order of rising 2θ, 2θ from 10° to 90°:
(1 1 2), 3.900 Å, intensity 28; (1 0 5), 3.573 Å, intensity 44; (2 1 1), 3.364 Å, intensity 100; (2 1 2), 3.218 Å, intensity 99; (0 0 6), 3.188 Å, intensity 88; (3 0 2), 3.113 Å, intensity 38; (1 1 5), 2.851 Å, intensity 53; (3 1 1), 2.676 Å, intensity 32; (2 1 5), 2.551 Å, intensity 27; (0 2 0), 2.366 Å, intensity 74

---

No. 5
Computed PXRD pattern
Compound: NaSrPrSbO6
Radiation: Cu Kα X-rays
Structure: DFT lattice parameters and positions (PBE)
Peak positions follow from Bragg's law for the DFT cell and can differ from measured ones.

Cell and atoms:
```
data_NaSrPrSbO6
_chemical_formula_sum 'Na4 Sr4 Pr4 Sb4 O24'
_cell_length_a 8.4968
_cell_length_b 8.5094
_cell_length_c 8.5608
_cell_angle_alpha 90.00
_cell_angle_beta 90.00
_cell_angle_gamma 90.00
_symmetry_space_group_name_H-M 'P n n n'
_symmetry_Int_Tables_number 48
loop_
_symmetry_equiv_pos_as_xyz
'x,y,z'
'-x,-y,-z'
'-x+1/2,-y+1/2,z'
'x+1/2,y+1/2,-z'
'x,-y+1/2,-z+1/2'
'-x,y+1/2,z+1/2'
'-x+1/2,y,-z+1/2'
'x+1/2,-y,z+1/2'
loop_
_atom_site_label
_atom_site_type_symbol
_atom_site_fract_x
_atom_site_fract_y
_atom_site_fract_z
Na1 Na 0.2500 0.2500 0.2500
Na2 Na 0.2500 0.7500 0.7500
Sr1 Sr 0.2500 0.2500 0.7500
Sr2 Sr 0.2500 0.7500 0.2500
Pr1 Pr 0.0000 0.0000 0.0000
Sb1 Sb 0.0000 0.0000 0.5000
O1 O 0.0329 0.2297 0.5445
O2 O 0.0443 0.5357 0.7720
O3 O 0.2281 0.5276 0.0475
```

Largest 10 diffraction maxima, in order of rising 2θ, 2θ from 10° to 90°:
(0 0 2), 4.280 Å, intensity 16; (0 2 0), 4.252 Å, intensity 32; (2 0 2), 3.016 Å, intensity 100; (2 2 0), 3.006 Å, intensity 48; (0 0 4), 2.140 Å, intensity 14; (0 4 0), 2.126 Å, intensity 30; (2 2 4), 1.744 Å, intensity 23; (4 2 2), 1.738 Å, intensity 44; (0 4 4), 1.508 Å, intensity 17; (6 4 2), 1.137 Å, intensity 11